Diffraction record for NaCaCeBiO6. The powder diffraction line list is calculated, not measured: it uses a structure optimized by DFT (PBE) and Cu Kα.

Structural model:
```
10
Lattice="0.000 4.298 4.298 4.298 0.000 4.298 4.298 4.298 0.000" Properties=species:S:1:pos:R:3 pbc="T T T"
Na 0.000 0.000 0.000
Ca 4.298 4.298 4.298
Ce 2.149 2.149 2.149
Bi 6.447 6.447 6.447
O 6.447 6.447 4.340
O 6.447 4.340 6.447
O 8.554 6.447 6.447
O 4.340 6.447 6.447
O 6.447 8.554 6.447
O 6.447 6.447 8.554
```

Principal peaks in the range 2θ = 15–90°, by angle:
4.298 Å, I 81; 3.039 Å, I 100; 2.481 Å, I 9; 2.149 Å, I 34; 1.922 Å, I 37; 1.755 Å, I 42; 1.520 Å, I 21; 1.433 Å, I 18; 1.359 Å, I 18; 1.149 Å, I 22

=====

Diffraction record for AlCu3. The powder diffraction line list is calculated, not measured: it uses a structure optimized by DFT (PBE) and Cu Kα.

Structural model:
```
4
Lattice="3.671 0.000 0.000 0.000 3.671 0.000 0.000 0.000 3.671" Properties=species:S:1:pos:R:3 pbc="T T T"
Al 0.000 0.000 0.000
Cu 0.000 1.836 1.836
Cu 1.836 0.000 1.836
Cu 1.836 1.836 0.000
```

Principal peaks in the range 2θ = 15–90°, by angle:
3.671 Å, I 11; 2.596 Å, I 9; 2.120 Å, I 100; 1.836 Å, I 47; 1.642 Å, I 4; 1.499 Å, I 3; 1.298 Å, I 27; 1.224 Å, I 2; 1.161 Å, I 1; 1.107 Å, I 32